This entry pairs a crystal structure of MoH12PdN4O4 with its theoretical powder diffraction line list. Radiation: copper Kα. Structure: a DFT-relaxed cell (GGA+U, the Materials Project).
Kinematic intensities with the Lorentz-polarization factor, no thermal factor.

Most intense lines, 2θ from 15° to 90°, low angle first:
20.07 deg, intensity 100.0; 22.51 deg, intensity 33.7; 23.56 deg, intensity 36.4; 32.81 deg, intensity 28.4; 38.11 deg, intensity 14.6; 39.41 deg, intensity 34.9; 51.67 deg, intensity 18.3; 59.53 deg, intensity 9.8

Structure:
```
data_MoH12PdN4O4
_cell_length_a 7.553
_cell_length_b 7.553
_cell_length_c 15.796
_cell_angle_alpha 90.00
_cell_angle_beta 90.00
_cell_angle_gamma 90.00
_space_group_name_H-M_alt 'I 41/a m d'
_space_group_IT_number 141
loop_
_space_group_symop_operation_xyz
'x,y,z'
'-x,-y,-z'
'-y+1/4,x+3/4,z+1/4'
'y+1/4,-x+3/4,-z+1/4'
'-x+1/2,-y,z+1/2'
'x+1/2,y,-z+1/2'
'y+1/4,-x+1/4,z+3/4'
'-y+1/4,x+1/4,-z+3/4'
'x,-y,-z'
'-x,y,z'
'-y+1/4,-x+1/4,-z+3/4'
'y+1/4,x+1/4,z+3/4'
'-x+1/2,y,-z+1/2'
'x+1/2,-y,z+1/2'
'y+1/4,x+3/4,-z+1/4'
'-y+1/4,-x+3/4,z+1/4'
'x+1/2,y+1/2,z+1/2'
'-x+1/2,-y+1/2,-z+1/2'
'-y+3/4,x+1/4,z+3/4'
'y+3/4,-x+1/4,-z+3/4'
'-x,-y+1/2,z'
'x,y+1/2,-z'
'y+3/4,-x+3/4,z+1/4'
'-y+3/4,x+3/4,-z+1/4'
'x+1/2,-y+1/2,-z+1/2'
'-x+1/2,y+1/2,z+1/2'
'-y+3/4,-x+3/4,-z+1/4'
'y+3/4,x+3/4,z+1/4'
'-x,y+1/2,-z'
'x,-y+1/2,z'
'y+3/4,x+1/4,-z+3/4'
'-y+3/4,-x+1/4,z+3/4'
loop_
_atom_site_label
_atom_site_fract_x
_atom_site_fract_y
_atom_site_fract_z
_atom_site_occupancy
Mo1 0.000 0.250 0.375 1
H1 0.000 0.054 0.193 1
H2 0.110 0.081 0.101 1
Pd1 0.000 0.250 0.875 1
N1 0.000 0.024 0.128 1
O1 0.000 0.053 0.311 1
```